Diffraction record for La2ErTi. The powder diffractogram is calculated, not measured: it uses the PBE geometry in Alexandria and a wavelength of 1.5418 Å.
Intensities are scaled so that the largest is 1000.

Principal peaks in the range 2θ from 10° to 90°, in order of rising 2θ:
2theta	I_rel	index
24.47	146	0 0 9
31.32	1000	1 0 4
32.41	133	0 1 5
32.83	246	0 0 12
36.77	607	0 1 8
51.98	243	1 1 0
53.98	151	1 0 16
61.95	145	0 2 4
62.85	223	1 1 12
85.05	118	2 1 4

Structure:
Unit cell a=3.5186 b=3.5186 c=32.7368 alpha=90.00 beta=90.00 gamma=120.00
Space group R-3m (No. 166, hexagonal axes)
One atom of each set of equivalent atoms:
La  0.0000  0.0000  0.2422
Er  0.0000  0.0000  0.0000
Ti  0.0000  0.0000  0.5000